TiZnNiPd: computed PXRD pattern (copper Kα), based on a cell relaxed with PBE.
Kinematic intensities with the Lorentz-polarization factor, no thermal factor.

Principal peaks in the range 5 to 70 degrees two-theta, low angle first:
- 24.2°, rel. 4
- 25.9°, rel. 10
- 32.6°, rel. 3
- 41.0°, rel. 100
- 43.7°, rel. 2
- 46.8°, rel. 34
- 49.6°, rel. 14
- 53.4°, rel. 2
- 54.3°, rel. 3
- 68.3°, rel. 11

```
4
Lattice="-1.942 1.942 3.674 1.942 -1.942 3.674 1.942 1.942 -3.674" Properties=species:S:1:pos:R:3 pbc="T T T"
Ti 0.000 0.000 0.000
Zn 0.000 0.000 3.674
Ni 1.942 0.000 1.837
Pd 0.000 1.942 1.837
```



PrSm5Y5: computed PXRD pattern (copper Kα), based on a cell relaxed with PBE.
Kinematic intensities with the Lorentz-polarization factor, no thermal factor.

Principal peaks in the range 5 to 70 degrees two-theta, low angle first:
- 28.1°, rel. 100
- 29.1°, rel. 88
- 30.1°, rel. 34
- 34.6°, rel. 45
- 37.1°, rel. 26
- 45.8°, rel. 24
- 51.0°, rel. 38
- 51.6°, rel. 25
- 55.2°, rel. 23
- 60.3°, rel. 21

```
11
Lattice="6.140 0.000 0.000 -3.070 5.318 0.000 0.000 0.000 11.870" Properties=species:S:1:pos:R:3 pbc="T T T"
Pr 0.000 0.000 0.000
Sm 0.000 0.000 3.799
Sm 0.000 0.000 8.071
Sm 0.000 3.545 1.836
Sm 0.000 3.545 10.034
Sm 3.070 1.773 0.000
Y -1.535 2.659 5.935
Y 0.000 5.317 5.935
Y 1.535 2.659 5.935
Y 3.070 1.773 3.119
Y 3.070 1.773 8.750
```